# 1
Diffraction record for Er2CuO4. The powder diffraction line list is theoretical, not measured: it uses a cell relaxed with PBE and Cu Kα X-rays.

Crystal structure
```
data_Er2CuO4
_symmetry_space_group_name_H-M 'C m c e'
_symmetry_Int_Tables_number 64
_symmetry_space_group_name_Hall '-C 2ac 2'
_cell_length_a 11.743
_cell_length_b 5.469
_cell_length_c 5.465
_cell_angle_alpha 90.00
_cell_angle_beta 90.00
_cell_angle_gamma 90.00
loop_
_atom_site_label
_atom_site_type_symbol
_atom_site_fract_x
_atom_site_fract_y
_atom_site_fract_z
_atom_site_occupancy
Er1 Er 0.155 0.000 0.000 1
Cu1 Cu 0.000 0.000 0.500 1
O1 O 0.000 0.196 0.197 1
O2 O 0.250 0.240 0.750 1
```

Top 10 peaks for 2θ = 15–90°, by angle:
d_spacing, 2theta, I_rel, index
3.672, 24.24, 20, 1 1 1
2.751, 32.55, 100, 3 1 1
2.734, 32.76, 38, 0 2 0
2.001, 45.33, 14, 4 0 2
1.957, 46.39, 8, 6 0 0
1.933, 47.01, 24, 0 2 2
1.591, 57.95, 18, 6 2 0
1.581, 58.35, 40, 3 3 1
1.375, 68.19, 10, 6 2 2
1.224, 78.11, 11, 3 3 3

---

# 2
Diffraction record for Sr2ErCu3Pb2O8. The powder diffraction line list is theoretical, not measured: it uses a cell relaxed with PBE and Cu Kα X-rays.

Crystal structure
```
data_Sr2ErCu3Pb2O8
_symmetry_space_group_name_H-M 'P 4/m m m'
_symmetry_Int_Tables_number 123
_symmetry_space_group_name_Hall '-P 4 2'
_cell_length_a 3.827
_cell_length_b 3.827
_cell_length_c 15.973
_cell_angle_alpha 90.00
_cell_angle_beta 90.00
_cell_angle_gamma 90.00
loop_
_atom_site_label
_atom_site_type_symbol
_atom_site_fract_x
_atom_site_fract_y
_atom_site_fract_z
_atom_site_occupancy
Sr1 Sr 0.000 0.000 0.220 1
Er1 Er 0.000 0.000 0.000 1
Cu1 Cu 0.000 0.000 0.500 1
Cu2 Cu 0.500 0.500 0.102 1
Pb1 Pb 0.500 0.500 0.387 1
O1 O 0.000 0.000 0.383 1
O2 O 0.000 0.500 0.090 1
O3 O 0.500 0.500 0.250 1
```

Top 10 peaks for 2θ = 15–90°, by angle:
d_spacing, 2theta, I_rel, index
3.721, 23.91, 29, 1 0 1
3.195, 27.93, 11, 0 0 5
2.763, 32.40, 100, 1 0 4
2.706, 33.11, 67, 1 1 0
2.185, 41.31, 17, 1 0 6
2.065, 43.85, 22, 1 1 5
1.913, 47.52, 31, 2 0 0
1.607, 57.35, 15, 1 1 8
1.573, 58.69, 38, 2 1 4
1.210, 79.15, 11, 3 1 0

---

# 3
Diffraction record for Er3Cu2Os. The powder diffraction line list is theoretical, not measured: it uses a cell relaxed with PBE and Cu Kα X-rays.

Crystal structure
```
data_Er3Cu2Os
_symmetry_space_group_name_H-M 'P 4/m m m'
_symmetry_Int_Tables_number 123
_symmetry_space_group_name_Hall '-P 4 2'
_cell_length_a 3.402
_cell_length_b 3.402
_cell_length_c 10.363
_cell_angle_alpha 90.00
_cell_angle_beta 90.00
_cell_angle_gamma 90.00
loop_
_atom_site_label
_atom_site_type_symbol
_atom_site_fract_x
_atom_site_fract_y
_atom_site_fract_z
_atom_site_occupancy
Er1 Er 0.000 0.000 0.000 1
Er2 Er 0.000 0.000 0.340 1
Cu1 Cu 0.500 0.500 0.165 1
Os1 Os 0.500 0.500 0.500 1
```

Top 10 peaks for 2θ = 15–90°, by angle:
d_spacing, 2theta, I_rel, index
3.402, 26.20, 5, 1 0 0
2.424, 37.09, 100, 1 0 3
2.405, 37.39, 49, 1 1 0
1.727, 53.02, 9, 0 0 6
1.701, 53.90, 17, 2 0 0
1.403, 66.67, 17, 1 1 6
1.392, 67.24, 35, 2 1 3
1.212, 79.01, 11, 2 0 6
1.203, 79.73, 5, 2 2 0
1.091, 89.96, 8, 1 0 9